Diffraction record for BaInSbH. The powder X-ray diffraction pattern is computed, not measured: it uses a cell relaxed with GGA-PBE and copper Kα.
Kinematic intensities with the Lorentz-polarization factor, no thermal factor.

Top 12 peaks for 2θ from 10° to 90°, low angle first:
2theta	Rel. int.
16.1	25
21.8	74
25.9	66
31.8	90
32.5	25
35.4	100
39.1	16
48.3	27
48.8	47
54.1	20
61.3	27
63.6	18

Cell and atoms:
Lattice parameters (Å, degrees): 5.0703 5.0703 11.0218 90.00 90.00 120.00
Positions (direct):
Ba  0.3333  0.6667  0.0000
Ba  0.6667  0.3333  0.5000
In  0.0000  0.0000  0.2610
In  0.0000  0.0000  0.7610
Sb  0.3333  0.6667  0.3131
Sb  0.6667  0.3333  0.8131
H  0.0000  0.0000  0.0863
H  0.0000  0.0000  0.5863